The following is a calculated XRD peak list of Zr8Al2Ni. It was derived from a structure optimized by DFT (PBE), using CuKα.

Peak list (8 most intense, 5° ≤ 2θ ≤ 70°, low angle first)
- 2θ 25.1, d 3.547, rel. 10
- 2θ 32.5, d 2.752, rel. 11
- 2θ 36.6, d 2.457, rel. 100
- 2θ 41.4, d 2.181, rel. 41
- 2θ 56.6, d 1.625, rel. 10
- 2θ 60.0, d 1.542, rel. 13
- 2θ 62.5, d 1.487, rel. 12
- 2θ 68.7, d 1.366, rel. 10

Crystal structure
```
data_Zr8Al2Ni
_chemical_formula_sum 'Zr8 Al2 Ni1'
_space_group_name_H-M_alt 'P 4/m m m'
_space_group_IT_number 123
_space_group_name_Hall '-P 4 2'
_cell_length_a 4.362
_cell_length_b 4.362
_cell_length_c 12.190
_cell_angle_alpha 90.00
_cell_angle_beta 90.00
_cell_angle_gamma 90.00
loop_
_atom_site_label
_atom_site_type_symbol
_atom_site_fract_x
_atom_site_fract_y
_atom_site_fract_z
Zr1 Zr 0.000 0.000 0.183
Zr2 Zr 0.000 0.500 0.000
Zr3 Zr 0.000 0.500 0.363
Al1 Al 0.500 0.500 0.185
Ni1 Ni 0.500 0.500 0.500
```